The following is a calculated powder diffractogram of CaThIn2Se4. It was derived from a PBE-relaxed structure, using Cu Kα.

Top 8 peaks for 2θ from 15° to 90°, low angle first:
2θ = 28.53°, rel. 100
2θ = 28.70°, rel. 49
2θ = 39.37°, rel. 37
2θ = 39.67°, rel. 18
2θ = 41.89°, rel. 18
2θ = 42.41°, rel. 35
2θ = 51.57°, rel. 20
2θ = 59.06°, rel. 11

```
CaThIn2Se4
1.0
7.3540 0.0000 0.0000
0.0000 4.3132 0.0000
-2.4810 0.0000 7.7299
Ca Th In Se
1 1 2 4
direct
0.0000 0.0000 0.0000
0.5000 0.5000 0.0000
0.0000 0.5000 0.5000
0.5000 0.0000 0.5000
0.2471 0.5000 0.2107
0.2703 0.0000 0.7872
0.7297 0.0000 0.2128
0.7529 0.5000 0.7893
```

=====

The following is a calculated powder diffractogram of HfPdI. It was derived from a PBE-relaxed structure, using Cu Kα.

Top 8 peaks for 2θ from 15° to 90°, low angle first:
2θ = 28.00°, rel. 24
2θ = 28.88°, rel. 100
2θ = 31.36°, rel. 21
2θ = 35.12°, rel. 59
2θ = 39.93°, rel. 80
2θ = 45.45°, rel. 35
2θ = 49.55°, rel. 55
2θ = 62.15°, rel. 22

```
HfPdI
1.0
12.8007 0.0000 0.0000
0.0000 3.6814 0.0000
0.0000 0.0000 6.3691
Hf Pd I
4 4 4
direct
0.1331 0.0000 0.0000
0.1331 0.5000 0.5000
0.8669 0.0000 0.0000
0.8669 0.5000 0.5000
0.0000 0.0000 0.6664
0.0000 0.5000 0.1664
0.5000 0.0000 0.3108
0.5000 0.5000 0.8108
0.2964 0.0000 0.3326
0.2964 0.5000 0.8326
0.7036 0.0000 0.3326
0.7036 0.5000 0.8326
```

=====

The following is a calculated powder diffractogram of Rb2AgHg2Se4. It was derived from a PBE-relaxed structure, using Cu Kα.

Top 8 peaks for 2θ from 15° to 90°, low angle first:
2θ = 25.77°, rel. 47
2θ = 26.87°, rel. 79
2θ = 26.96°, rel. 52
2θ = 30.92°, rel. 100
2θ = 32.81°, rel. 83
2θ = 39.46°, rel. 46
2θ = 42.03°, rel. 50
2θ = 42.90°, rel. 43

```
Rb2AgHg2Se4
1.0
9.1437 -2.1080 0.0000
9.1437 2.1080 0.0000
-2.2751 0.0000 7.1970
Rb Ag Hg Se
2 1 2 4
direct
0.1238 0.1238 0.0354
0.8762 0.8762 0.9646
0.0000 0.0000 0.5000
0.3340 0.3340 0.4930
0.6660 0.6660 0.5070
0.2279 0.2279 0.7187
0.4796 0.4796 0.7093
0.5204 0.5204 0.2907
0.7721 0.7721 0.2813
```

=====

The following is a calculated powder diffractogram of K2AgAsSe4. It was derived from a PBE-relaxed structure, using Cu Kα.

Top 8 peaks for 2θ from 15° to 90°, low angle first:
2θ = 15.16°, rel. 97
2θ = 25.22°, rel. 39
2θ = 26.57°, rel. 47
2θ = 30.23°, rel. 100
2θ = 34.65°, rel. 45
2θ = 39.26°, rel. 53
2θ = 45.44°, rel. 44
2θ = 49.78°, rel. 40

```
K2AgAsSe4
1.0
0.0000 6.6057 12.5330
3.2989 0.0000 12.5330
3.2989 6.6057 0.0000
K Ag As Se
4 2 2 8
direct
0.0634 0.0634 0.6866
0.3134 0.3134 0.9366
0.6866 0.6866 0.0634
0.9366 0.9366 0.3134
0.1250 0.1250 0.1250
0.8750 0.8750 0.8750
0.3750 0.3750 0.3750
0.6250 0.6250 0.6250
0.0095 0.6350 0.5283
0.3272 0.5283 0.6350
0.3650 0.9905 0.6728
0.4717 0.6728 0.9905
0.5283 0.3272 0.0095
0.6350 0.0095 0.3272
0.6728 0.4717 0.3650
0.9905 0.3650 0.4717
```

=====

The following is a calculated powder diffractogram of Tm4GaRh4. It was derived from a PBE-relaxed structure, using Cu Kα.

Top 8 peaks for 2θ from 15° to 90°, low angle first:
2θ = 28.84°, rel. 20
2θ = 33.68°, rel. 100
2θ = 34.65°, rel. 52
2θ = 40.93°, rel. 49
2θ = 48.37°, rel. 23
2θ = 51.59°, rel. 33
2θ = 56.35°, rel. 25
2θ = 79.06°, rel. 15

```
Tm4GaRh4
1.0
8.4160 0.0000 0.0000
0.0000 8.4160 0.0000
0.0000 0.0000 5.4409
Tm Ga Rh
8 2 8
direct
0.0520 0.6802 0.1263
0.1802 0.9480 0.6263
0.3198 0.5520 0.6263
0.4480 0.8198 0.1263
0.5520 0.1802 0.8737
0.6802 0.4480 0.3737
0.8198 0.0520 0.3737
0.9480 0.3198 0.8737
0.2500 0.2500 0.2500
0.7500 0.7500 0.7500
0.0008 0.3627 0.3725
0.1373 0.0008 0.1275
0.3627 0.4992 0.1275
0.4992 0.1373 0.3725
0.5008 0.8627 0.6275
0.6373 0.5008 0.8725
0.8627 0.9992 0.8725
0.9992 0.6373 0.6275
```

=====

The following is a calculated powder diffractogram of Dy2Y2Tc. It was derived from a PBE-relaxed structure, using Cu Kα.

Top 8 peaks for 2θ from 15° to 90°, low angle first:
2θ = 28.22°, rel. 42
2θ = 29.77°, rel. 34
2θ = 30.93°, rel. 100
2θ = 31.35°, rel. 67
2θ = 33.16°, rel. 66
2θ = 36.89°, rel. 27
2θ = 41.48°, rel. 37
2θ = 59.55°, rel. 22

```
Dy2Y2Tc
1.0
3.7264 -6.0030 0.0000
3.7264 6.0030 0.0000
-3.4076 0.0000 6.4872
Dy Y Tc
4 4 2
direct
0.1768 0.7274 0.7477
0.2726 0.8232 0.2523
0.7274 0.1768 0.7477
0.8232 0.2726 0.2523
0.2394 0.2394 0.5904
0.2738 0.2738 0.1035
0.7262 0.7262 0.8965
0.7606 0.7606 0.4096
0.3712 0.6288 0.5000
0.6288 0.3712 0.5000
```

=====

The following is a calculated powder diffractogram of Ti6ZnGe3. It was derived from a PBE-relaxed structure, using Cu Kα.

Top 8 peaks for 2θ from 15° to 90°, low angle first:
2θ = 25.84°, rel. 24
2θ = 36.96°, rel. 29
2θ = 39.20°, rel. 100
2θ = 39.41°, rel. 94
2θ = 41.47°, rel. 36
2θ = 41.78°, rel. 39
2θ = 53.13°, rel. 26
2θ = 69.77°, rel. 17

```
Ti6ZnGe3
1.0
4.8800 -4.8234 0.0000
4.8800 4.8234 0.0000
0.0000 0.0000 6.8957
Ti Zn Ge
12 2 6
direct
0.0016 0.5018 0.7500
0.1694 0.8306 0.5018
0.1694 0.8306 0.9982
0.3261 0.3261 0.0000
0.3261 0.3261 0.5000
0.4982 0.9984 0.7500
0.5018 0.0016 0.2500
0.6739 0.6739 0.0000
0.6739 0.6739 0.5000
0.8306 0.1694 0.0018
0.8306 0.1694 0.4982
0.9984 0.4982 0.2500
0.3683 0.6317 0.2500
0.6317 0.3683 0.7500
0.1306 0.1327 0.7500
0.1327 0.1306 0.2500
0.3728 0.6272 0.7500
0.6272 0.3728 0.2500
0.8673 0.8694 0.7500
0.8694 0.8673 0.2500
```

=====

The following is a calculated powder diffractogram of TbDy5Tm2Sc. It was derived from a PBE-relaxed structure, using Cu Kα.

Top 8 peaks for 2θ from 15° to 90°, low angle first:
2θ = 27.28°, rel. 22
2θ = 28.46°, rel. 15
2θ = 30.96°, rel. 35
2θ = 32.52°, rel. 43
2θ = 32.86°, rel. 100
2θ = 34.74°, rel. 12
2θ = 58.24°, rel. 21
2θ = 62.94°, rel. 13

```
TbDy5Tm2Sc
1.0
2.7531 -9.8742 0.0000
2.7531 9.8742 0.0000
0.0000 0.0000 10.3299
Tb Dy Tm Sc
2 10 4 2
direct
0.0900 0.9100 0.5000
0.9100 0.0900 0.0000
0.0182 0.9818 0.7846
0.1218 0.8782 0.0656
0.2001 0.7999 0.7501
0.2237 0.7763 0.3643
0.4826 0.5174 0.0620
0.5174 0.4826 0.5620
0.7763 0.2237 0.8643
0.7999 0.2001 0.2501
0.8782 0.1218 0.5656
0.9818 0.0182 0.2846
0.3863 0.6137 0.7824
0.3884 0.6116 0.3559
0.6116 0.3884 0.8559
0.6137 0.3863 0.2824
0.3047 0.6953 0.0593
0.6953 0.3047 0.5593
```

=====

The following is a calculated powder diffractogram of Sr8Bi5H. It was derived from a PBE-relaxed structure, using Cu Kα.

Top 8 peaks for 2θ from 15° to 90°, low angle first:
2θ = 21.27°, rel. 20
2θ = 21.55°, rel. 34
2θ = 27.41°, rel. 39
2θ = 28.02°, rel. 100
2θ = 32.78°, rel. 46
2θ = 33.08°, rel. 17
2θ = 33.26°, rel. 31
2θ = 41.68°, rel. 20

```
Sr8Bi5H
1.0
-5.0301 5.0301 5.1589
5.0301 -5.0301 5.1589
5.0301 5.0301 -5.1589
Sr Bi H
8 5 1
direct
0.0088 0.9026 0.2630
0.0974 0.3605 0.1062
0.1412 0.3909 0.6228
0.2542 0.9912 0.8938
0.4815 0.8588 0.2496
0.6091 0.2319 0.7504
0.6395 0.7458 0.7370
0.7681 0.5185 0.3772
0.2500 0.7500 0.5000
0.3872 0.2664 0.3799
0.7336 0.1135 0.1208
0.8865 0.0073 0.6201
0.9927 0.6128 0.8792
0.5000 0.5000 0.0000
```

=====

The following is a calculated powder diffractogram of TlPd3Pb6. It was derived from a PBE-relaxed structure, using Cu Kα.

Top 8 peaks for 2θ from 15° to 90°, low angle first:
2θ = 30.40°, rel. 100
2θ = 30.74°, rel. 79
2θ = 33.23°, rel. 52
2θ = 35.29°, rel. 41
2θ = 36.76°, rel. 45
2θ = 37.13°, rel. 55
2θ = 39.96°, rel. 96
2θ = 51.24°, rel. 41

```
TlPd3Pb6
1.0
8.7651 0.0000 0.0000
0.0000 4.5128 0.0000
-1.6352 0.0000 13.7684
Tl Pd Pb
2 6 12
direct
0.2277 0.2500 0.2111
0.7723 0.7500 0.7889
0.0271 0.7500 0.6649
0.2754 0.2500 0.9726
0.4073 0.2500 0.5129
0.5927 0.7500 0.4871
0.7246 0.7500 0.0274
0.9729 0.2500 0.3351
0.1010 0.2500 0.7903
0.1097 0.2500 0.5527
0.1302 0.7500 0.0394
0.2844 0.7500 0.3885
0.3868 0.7500 0.6518
0.4385 0.7500 0.9027
0.5615 0.2500 0.0973
0.6132 0.2500 0.3482
0.7156 0.2500 0.6115
0.8698 0.2500 0.9606
0.8903 0.7500 0.4473
0.8990 0.7500 0.2097
```

=====

The following is a calculated powder diffractogram of Y2Ga3Cu4Hg. It was derived from a PBE-relaxed structure, using Cu Kα.

Top 8 peaks for 2θ from 15° to 90°, low angle first:
2θ = 33.57°, rel. 34
2θ = 35.02°, rel. 100
2θ = 43.54°, rel. 52
2θ = 46.51°, rel. 28
2θ = 48.77°, rel. 17
2θ = 56.07°, rel. 15
2θ = 63.27°, rel. 17
2θ = 74.41°, rel. 21

```
Y2Ga3Cu4Hg
1.0
4.1574 0.0000 0.0000
0.0000 4.1574 0.0000
0.0000 0.0000 10.4493
Y Ga Cu Hg
2 3 4 1
direct
0.0000 0.5000 0.2362
0.5000 0.0000 0.7638
0.0000 0.5000 0.8767
0.5000 0.0000 0.1233
0.5000 0.5000 0.5000
0.0000 0.0000 0.0000
0.0000 0.5000 0.6505
0.5000 0.0000 0.3495
0.5000 0.5000 0.0000
0.0000 0.0000 0.5000
```

=====

The following is a calculated powder diffractogram of Tm3PuSc3. It was derived from a PBE-relaxed structure, using Cu Kα.

Top 8 peaks for 2θ from 15° to 90°, low angle first:
2θ = 31.24°, rel. 49
2θ = 33.39°, rel. 100
2θ = 36.67°, rel. 61
2θ = 40.91°, rel. 18
2θ = 51.43°, rel. 16
2θ = 54.21°, rel. 23
2θ = 63.98°, rel. 20
2θ = 65.20°, rel. 36

```
Tm3PuSc3
1.0
2.9305 1.6919 13.4041
-2.9305 1.6919 13.4041
0.0000 -3.3839 13.4041
Tm Pu Sc
6 2 6
direct
0.0685 0.4013 0.7354
0.2646 0.9315 0.5987
0.4013 0.7354 0.0685
0.5987 0.2646 0.9315
0.7354 0.0685 0.4013
0.9315 0.5987 0.2646
0.3333 0.3333 0.3333
0.6667 0.6667 0.6667
0.1354 0.8026 0.4677
0.1974 0.5323 0.8646
0.4677 0.1354 0.8026
0.5323 0.8646 0.1974
0.8026 0.4677 0.1354
0.8646 0.1974 0.5323
```